For NaAl2Ag4, a structure optimized by DFT (PBE) gives the computed powder X-ray diffraction pattern in this record (λ = 1.5418 Å (Cu Kα)).

```
data_NaAl2Ag4
_chemical_formula_sum 'Na2 Al4 Ag8'
_symmetry_space_group_name_H-M 'P 42/m n m'
_symmetry_Int_Tables_number 136
_symmetry_space_group_name_Hall '-P 4n 2n'
_cell_length_a 7.9526
_cell_length_b 7.9526
_cell_length_c 4.3434
_cell_angle_alpha 90.00
_cell_angle_beta 90.00
_cell_angle_gamma 90.00
loop_
_atom_site_label
_atom_site_type_symbol
_atom_site_fract_x
_atom_site_fract_y
_atom_site_fract_z
Na1 Na 0.0000 0.0000 0.0000
Al1 Al 0.2226 0.2226 0.5000
Ag1 Ag 0.0948 0.6546 0.5000
```

Top 8 peaks for 2θ = 5–70°, by angle:
2θ/deg  intensity  h k l
15.76  97.6  1 1 0
25.92  43.1  1 1 1
32.54  43.6  2 1 1
35.70  40.2  3 1 0
38.13  99.8  2 2 1
41.52  100.0  0 0 2
47.12  20.8  4 1 0
55.94  20.6  3 1 2

For LuZrVCu, a structure optimized by DFT (PBE) gives the computed powder X-ray diffraction pattern in this record (λ = 1.5418 Å (Cu Kα)).

```
data_LuZrVCu
_chemical_formula_sum 'Lu4 Zr4 V4 Cu4'
_symmetry_space_group_name_H-M 'F -4 3 m'
_symmetry_Int_Tables_number 216
_symmetry_space_group_name_Hall 'F -4 2 3'
_cell_length_a 6.7608
_cell_length_b 6.7608
_cell_length_c 6.7608
_cell_angle_alpha 90.00
_cell_angle_beta 90.00
_cell_angle_gamma 90.00
loop_
_atom_site_label
_atom_site_type_symbol
_atom_site_fract_x
_atom_site_fract_y
_atom_site_fract_z
Lu1 Lu 0.0000 0.0000 0.0000
Zr1 Zr 0.0000 0.0000 0.5000
V1 V 0.2500 0.2500 0.2500
Cu1 Cu 0.2500 0.2500 0.7500
```

Top 8 peaks for 2θ = 5–70°, by angle:
2θ/deg  intensity  h k l
22.78  10.4  1 1 1
26.37  18.1  2 0 0
37.63  100.0  2 2 0
44.44  5.9  3 1 1
46.53  5.5  2 2 2
54.27  16.9  4 0 0
61.32  7.6  4 2 0
67.92  33.6  4 2 2

For LiSmU2S5, a structure optimized by DFT (PBE) gives the computed powder X-ray diffraction pattern in this record (λ = 1.5418 Å (Cu Kα)).

```
data_LiSmU2S5
_chemical_formula_sum 'Li2 Sm2 U4 S10'
_symmetry_space_group_name_H-M 'P 4/m b m'
_symmetry_Int_Tables_number 127
_symmetry_space_group_name_Hall '-P 4 2ab'
_cell_length_a 7.0387
_cell_length_b 7.0387
_cell_length_c 7.6253
_cell_angle_alpha 90.00
_cell_angle_beta 90.00
_cell_angle_gamma 90.00
loop_
_atom_site_label
_atom_site_type_symbol
_atom_site_fract_x
_atom_site_fract_y
_atom_site_fract_z
Li1 Li 0.0000 0.0000 0.0000
Sm1 Sm 0.0000 0.5000 0.0000
U1 U 0.1232 0.3768 0.5000
S1 S 0.0000 0.0000 0.5000
S2 S 0.1929 0.6929 0.2382
```

Top 8 peaks for 2θ = 5–70°, by angle:
2θ/deg  intensity  h k l
11.61  100.0  0 0 1
17.82  98.0  1 1 0
23.33  51.7  0 0 2
29.51  48.7  1 1 2
30.73  86.5  2 1 1
37.03  79.9  2 1 2
42.30  54.9  3 1 1
53.44  30.3  4 0 1